Entry 1:
Diffraction record for ZrTi2H4. The X-ray powder pattern is simulated, not measured: it uses the PBE geometry in the Materials Project and Cu Kα.
Kinematic intensities with the Lorentz-polarization factor, no thermal factor.

Principal peaks in the range 2θ from 15° to 90°, sorted by position:
(1 1 1), 2θ = 18.85°, I 4; (2 2 0), 2θ = 31.03°, I 54; (3 1 1), 2θ = 36.56°, I 100; (2 2 2), 2θ = 38.24°, I 18; (4 2 2), 2θ = 55.20°, I 20; (5 1 1), 2θ = 58.86°, I 31; (4 4 0), 2θ = 64.68°, I 24; (6 2 0), 2θ = 73.46°, I 8; (5 3 3), 2θ = 76.65°, I 10; (6 2 2), 2θ = 77.70°, I 6

Structural model:
Unit cell a=8.1523 b=8.1523 c=8.1523 alpha=90.00 beta=90.00 gamma=90.00
Space group Fd-3m (No. 227, origin choice 2)
One atom of each set of equivalent atoms:
Zr: 0.1250 0.1250 0.1250 [8 per cell]
Ti: 0.0000 0.0000 0.5000 [16 per cell]
H: 0.0194 0.0194 0.7306 [32 per cell]

Entry 2:
Diffraction record for Nd3Ho. The X-ray powder pattern is simulated, not measured: it uses the PBE geometry in the Materials Project and Cu Kα.
Kinematic intensities with the Lorentz-polarization factor, no thermal factor.

Principal peaks in the range 2θ from 15° to 90°, sorted by position:
(2 0 0), 2θ = 28.16°, I 23; (0 0 2), 2θ = 29.89°, I 26; (2 0 1), 2θ = 31.97°, I 100; (2 0 2), 2θ = 41.54°, I 16; (2 2 0), 2θ = 49.85°, I 19; (2 0 3), 2θ = 54.39°, I 22; (2 2 2), 2θ = 59.22°, I 23; (4 0 1), 2θ = 60.45°, I 16; (4 2 1), 2θ = 82.07°, I 14; (2 2 4), 2θ = 83.54°, I 9

Structural model:
```
data_Nd3Ho
_cell_length_a 7.3173
_cell_length_b 7.3173
_cell_length_c 5.9778
_cell_angle_alpha 90.00
_cell_angle_beta 90.00
_cell_angle_gamma 120.00
_symmetry_space_group_name_H-M 'P 63/m m c'
_symmetry_Int_Tables_number 194
_symmetry_space_group_name_Hall '-P 6c 2c'
loop_
_atom_site_label
_atom_site_type_symbol
_atom_site_fract_x
_atom_site_fract_y
_atom_site_fract_z
_atom_site_occupancy
Nd1 Nd 0.1672 0.3345 0.2500 1
Ho1 Ho 0.3333 0.6667 0.7500 1
```

Entry 3:
Diffraction record for LiCaBO3. The X-ray powder pattern is simulated, not measured: it uses the PBE geometry in the Materials Project and Cu Kα.
Kinematic intensities with the Lorentz-polarization factor, no thermal factor.

Principal peaks in the range 2θ from 15° to 90°, sorted by position:
(0 0 2), 2θ = 28.62°, I 100; (2 0 0), 2θ = 29.15°, I 92; (1 4 1), 2θ = 33.80°, I 98; (0 6 0), 2θ = 40.56°, I 74; (2 0 2), 2θ = 41.31°, I 100; (1 2 3), 2θ = 48.19°, I 42; (3 2 1), 2θ = 48.87°, I 43; (1 4 3), 2θ = 54.08°, I 52; (3 4 1), 2θ = 54.71°, I 53; (2 6 2), 2θ = 59.28°, I 37

Structural model:
```
data_LiCaBO3
_cell_length_a 6.1273
_cell_length_b 13.3448
_cell_length_c 6.2375
_cell_angle_alpha 90.00
_cell_angle_beta 90.00
_cell_angle_gamma 90.00
_symmetry_space_group_name_H-M 'P b c a'
_symmetry_Int_Tables_number 61
_symmetry_space_group_name_Hall '-P 2ac 2ab'
loop_
_atom_site_label
_atom_site_type_symbol
_atom_site_fract_x
_atom_site_fract_y
_atom_site_fract_z
_atom_site_occupancy
Li1 Li 0.0156 0.2480 0.2091 1
Ca1 Ca 0.2489 0.5703 0.4904 1
B1 B 0.2501 0.1478 0.9825 1
O1 O 0.1017 0.5952 0.8557 1
O2 O 0.1181 0.0952 0.1262 1
O3 O 0.2337 0.2491 0.4652 1
```

Entry 4:
Diffraction record for Hf2MoRh. The X-ray powder pattern is simulated, not measured: it uses the PBE geometry in the Materials Project and Cu Kα.
Kinematic intensities with the Lorentz-polarization factor, no thermal factor.

Principal peaks in the range 2θ from 15° to 90°, sorted by position:
(2 0 0), 2θ = 27.20°, I 9; (2 2 0), 2θ = 38.85°, I 100; (2 2 2), 2θ = 48.07°, I 3; (4 0 0), 2θ = 56.11°, I 17; (4 2 0), 2θ = 63.44°, I 4; (4 2 2), 2θ = 70.34°, I 35; (4 4 0), 2θ = 83.38°, I 11; (6 0 0), 2θ = 89.73°, I 2

Structural model:
```
data_Hf2MoRh
_cell_length_a 6.5569
_cell_length_b 6.5569
_cell_length_c 6.5569
_cell_angle_alpha 90.00
_cell_angle_beta 90.00
_cell_angle_gamma 90.00
_symmetry_space_group_name_H-M 'F m -3 m'
_symmetry_Int_Tables_number 225
_symmetry_space_group_name_Hall '-F 4 2 3'
loop_
_atom_site_label
_atom_site_type_symbol
_atom_site_fract_x
_atom_site_fract_y
_atom_site_fract_z
_atom_site_occupancy
Hf1 Hf 0.2500 0.2500 0.2500 1
Mo1 Mo 0.0000 0.0000 0.0000 1
Rh1 Rh 0.0000 0.0000 0.5000 1
```